[1]
Starting from the GGA-PBE geometry in the Materials Project, the X-ray diffraction stick pattern of Rb3NbH4C6O15 was computed for Cu Kα.
Peak positions follow from Bragg's law for the DFT cell and can differ from measured ones.

Atomic structure:
Cell lengths 8.093, 9.160, 11.699 Å; angles 78.94, 87.00, 86.42 degrees
Space group P-1 (No. 2)
One atom of each set of equivalent atoms:
Rb 0.015 0.241 0.369 x2
Rb 0.146 0.329 0.928 x2
Rb 0.379 0.035 0.650 x2
Nb 0.322 0.626 0.168 x2
H 0.037 0.056 0.131 x2
H 0.166 0.412 0.593 x2
H 0.221 0.096 0.147 x2
H 0.258 0.501 0.486 x2
C 0.071 0.752 0.331 x2
C 0.235 0.820 0.354 x2
C 0.265 0.897 0.972 x2
C 0.423 0.622 0.746 x2
C 0.428 0.346 0.341 x2
C 0.451 0.848 0.960 x2
O 0.063 0.217 0.618 x2
O 0.085 0.661 0.259 x2
O 0.104 0.127 0.159 x2
O 0.193 0.821 0.064 x2
O 0.199 0.998 0.900 x2
O 0.212 0.510 0.564 x2
O 0.220 0.513 0.091 x2
O 0.238 0.904 0.425 x2
O 0.302 0.710 0.748 x2
O 0.314 0.455 0.329 x2
O 0.360 0.777 0.292 x2
O 0.419 0.229 0.413 x2
O 0.443 0.493 0.817 x2
O 0.456 0.089 0.119 x2
O 0.495 0.737 0.041 x2

Most intense lines, 15° ≤ 2θ ≤ 90°, sorted by position:
5.311 Å, I = 81, hkl 0 1 2; 3.913 Å, I = 84, hkl 0 2 2; 3.701 Å, I = 100, hkl 2 1 1; 3.035 Å, I = 60, hkl 1 2 -2; 2.924 Å, I = 80, hkl 2 -2 0; 2.270 Å, I = 61, hkl -2 3 2



[2]
Starting from the GGA-PBE geometry in the Materials Project, the X-ray diffraction stick pattern of NdH3C3O6 was computed for Cu Kα.
Peak positions follow from Bragg's law for the DFT cell and can differ from measured ones.

Atomic structure:
Cell lengths 10.7002, 10.7002, 4.1224 Å; angles 90.00, 90.00, 120.00 degrees
Space group R3m (No. 160, hexagonal axes)
One atom of each set of equivalent atoms:
Nd 0.0000 0.0000 0.0000 x3
H 0.1720 0.3441 0.2066 x9
C 0.0270 0.5135 0.1274 x9
O 0.0848 0.1696 0.5050 x9
O 0.1995 0.3989 0.6858 x9

Most intense lines, 15° ≤ 2θ ≤ 90°, sorted by position:
5.350 Å, I = 100, hkl 1 1 0; 3.766 Å, I = 31, hkl 1 0 1; 3.082 Å, I = 45, hkl 0 2 1; 2.672 Å, I = 78, hkl 2 2 0; 2.181 Å, I = 29, hkl 1 3 1; 2.021 Å, I = 26, hkl 4 0 1



[3]
Starting from the GGA-PBE geometry in the Materials Project, the X-ray diffraction stick pattern of NdHCO4 was computed for Cu Kα.
Peak positions follow from Bragg's law for the DFT cell and can differ from measured ones.

Atomic structure:
Cell lengths 4.991, 7.337, 8.664 Å; angles 90.00, 90.00, 90.00 degrees
Space group P2_12_12_1 (No. 19)
One atom of each set of equivalent atoms:
Nd 0.002 0.108 0.164 x4
H 0.105 0.747 0.027 x4
C 0.001 0.554 0.676 x4
O 0.001 0.957 0.699 x4
O 0.008 0.290 0.388 x4
O 0.222 0.098 0.891 x4
O 0.228 0.598 0.613 x4

Most intense lines, 15° ≤ 2θ ≤ 90°, sorted by position:
4.326 Å, I = 100, hkl 1 0 1; 3.728 Å, I = 72, hkl 0 1 2; 3.378 Å, I = 36, hkl 0 2 1; 2.956 Å, I = 52, hkl 1 2 0; 2.366 Å, I = 38, hkl 1 1 3; 2.075 Å, I = 45, hkl 2 1 2